# 1
NaSr6Ca5: calculated XRD peak list (λ = 1.5418 Å (Cu Kα)), based on a crystal structure in Alexandria, relaxed with GGA-PBE.

a = 7.0834 Å, b = 7.0834 Å, c = 13.4793 Å
α = 95.06°, β = 95.06°, γ = 120.02°
Fractional positions:
Na: 0.0000 0.0000 0.0000
Sr: 0.0838 0.4164 0.2501
Sr: 0.2490 0.2490 0.7506
Sr: 0.4164 0.0838 0.2501
Sr: 0.5836 0.9162 0.7499
Sr: 0.7510 0.7510 0.2494
Sr: 0.9162 0.5836 0.7499
Ca: 0.1660 0.8340 0.5000
Ca: 0.3329 0.6671 0.0000
Ca: 0.5000 0.5000 0.5000
Ca: 0.6671 0.3329 0.0000
Ca: 0.8340 0.1660 0.5000

Main lines, by angle (2θ = 10–80°):
2θ/deg, I_rel
13.35, 22
25.55, 16
26.72, 100
26.88, 33
31.00, 68
44.30, 24
44.51, 24
52.53, 34
52.76, 14
55.05, 13


# 2
Na2SrCa3: calculated XRD peak list (λ = 1.5418 Å (Cu Kα)), based on a crystal structure in Alexandria, relaxed with GGA-PBE.

a = 9.6619 Å, b = 9.6619 Å, c = 9.2717 Å
α = 94.60°, β = 94.60°, γ = 37.06°
Fractional positions:
Na: 0.0327 0.0327 0.1688
Na: 0.2640 0.2640 0.3420
Na: 0.7360 0.7360 0.6580
Na: 0.9673 0.9673 0.8312
Sr: 0.3576 0.3576 0.7134
Sr: 0.6424 0.6424 0.2866
Ca: 0.1067 0.1067 0.5753
Ca: 0.1928 0.1928 0.9709
Ca: 0.4224 0.4224 0.1445
Ca: 0.5776 0.5776 0.8555
Ca: 0.8072 0.8072 0.0291
Ca: 0.8933 0.8933 0.4247

Main lines, by angle (2θ = 10–80°):
2θ/deg, I_rel
24.27, 34
29.08, 54
29.13, 100
29.38, 93
29.82, 43
41.56, 18
42.14, 31
51.56, 36
51.72, 25
52.34, 20


# 3
Na2Sr15Ca2: calculated XRD peak list (λ = 1.5418 Å (Cu Kα)), based on a crystal structure in Alexandria, relaxed with GGA-PBE.

a = 11.0214 Å, b = 11.0214 Å, c = 11.0214 Å
α = 65.07°, β = 65.07°, γ = 65.07°
Fractional positions:
Na: 0.0743 0.0743 0.0743
Na: 0.9257 0.9257 0.9257
Sr: 0.0000 0.0000 0.5000
Sr: 0.0000 0.3132 0.6868
Sr: 0.0000 0.5000 0.0000
Sr: 0.0000 0.6868 0.3132
Sr: 0.2121 0.5575 0.5575
Sr: 0.3132 0.0000 0.6868
Sr: 0.3132 0.6868 0.0000
Sr: 0.4425 0.4425 0.7879
Sr: 0.4425 0.7879 0.4425
Sr: 0.5000 0.0000 0.0000
Sr: 0.5575 0.2121 0.5575
Sr: 0.5575 0.5575 0.2121
Sr: 0.6868 0.0000 0.3132
Sr: 0.6868 0.3132 0.0000
Sr: 0.7879 0.4425 0.4425
Ca: 0.2919 0.2919 0.2919
Ca: 0.7081 0.7081 0.7081

Main lines, by angle (2θ = 10–80°):
2θ/deg, I_rel
14.95, 15
23.94, 42
24.41, 56
25.54, 34
28.05, 100
31.93, 20
33.41, 37
45.93, 17
49.96, 15
56.48, 17